Computed powder XRD pattern of LiNi3O3F for Cu Kα (weighted mean of Kα1 and Kα2), from the PBE+U geometry in Alexandria.
Peak positions follow from Bragg's law for the DFT cell and can differ from measured ones.

Main lines, in order of rising 2θ (10 to 80 degrees two-theta):
10.42 deg, intensity 81.7, (0 0 1); 37.01 deg, intensity 76.9, (1 0 2); 42.59 deg, intensity 52.1, (0 0 4); 43.19 deg, intensity 100.0, (1 1 0); 62.27 deg, intensity 58.3, (1 1 4); 62.74 deg, intensity 28.5, (2 0 0)

Structure:
a b c (Å): 2.9620 2.9620 8.4909
angles (deg): 90.00 90.00 90.00
Atoms (fractional coordinates):
1 Li 0.0000 0.0000 0.0000
2 Ni 0.0000 0.0000 0.5000
3 Ni 0.5000 0.5000 0.2533
4 Ni 0.5000 0.5000 0.7467
5 O 0.0000 0.0000 0.2484
6 O 0.0000 0.0000 0.7516
7 O 0.5000 0.5000 0.5000
8 F 0.5000 0.5000 0.0000